Entry 1:
Diffraction record for KFeIr. The powder diffraction line list is computed, not measured: it uses a cell relaxed with PBE and Cu Kα, 1.54184 Å.
No peak broadening, texture or thermal motion is included.

Most intense lines, 15 to 90 degrees two-theta, low angle first:
2θ = 21.37°, 4.159 Å, rel. 81, hkl 1 1 0; 2θ = 29.06°, 3.073 Å, rel. 67, hkl 0 4 0; 2θ = 34.39°, 2.608 Å, rel. 27, hkl 0 4 1; 2θ = 34.98°, 2.565 Å, rel. 47, hkl 1 3 1; 2θ = 40.84°, 2.210 Å, rel. 37, hkl 2 0 0; 2θ = 42.66°, 2.120 Å, rel. 100, hkl 1 1 2; 2θ = 43.53°, 2.079 Å, rel. 30, hkl 2 2 0; 2θ = 47.74°, 1.905 Å, rel. 51, hkl 1 3 2; 2θ = 50.90°, 1.794 Å, rel. 27, hkl 2 4 0; 2θ = 56.86°, 1.619 Å, rel. 28, hkl 1 5 2

Crystal structure
a = 4.419 Å, b = 12.293 Å, c = 4.927 Å
α = 90.00°, β = 90.00°, γ = 90.00°
Space group Cmcm (No. 63)
One atom of each set of equivalent atoms:
K 0.000 0.232 0.250 x4
Fe 0.000 0.500 0.000 x4
Ir 0.000 0.027 0.750 x4

Entry 2:
Diffraction record for SiOs2Se. The powder diffraction line list is computed, not measured: it uses a cell relaxed with PBE and Cu Kα, 1.54184 Å.
No peak broadening, texture or thermal motion is included.

Most intense lines, 15 to 90 degrees two-theta, low angle first:
2θ = 16.98°, 5.222 Å, rel. 36, hkl 0 0 1; 2θ = 28.69°, 3.112 Å, rel. 47, hkl 0 1 1; 2θ = 35.27°, 2.544 Å, rel. 28, hkl 1 0 1; 2θ = 38.66°, 2.329 Å, rel. 100, hkl 1 1 0; 2θ = 41.72°, 2.165 Å, rel. 60, hkl 0 1 2; 2θ = 46.72°, 1.944 Å, rel. 44, hkl 1 0 2; 2θ = 46.89°, 1.937 Å, rel. 29, hkl 0 2 0; 2θ = 52.65°, 1.739 Å, rel. 28, hkl 0 0 3; 2θ = 68.35°, 1.372 Å, rel. 28, hkl 1 2 2; 2θ = 79.25°, 1.209 Å, rel. 19, hkl 2 1 2

Crystal structure
a = 2.914 Å, b = 3.875 Å, c = 5.222 Å
α = 90.00°, β = 90.00°, γ = 90.00°
Space group Pmm2 (No. 25)
One atom of each set of equivalent atoms:
Si 0.000 0.000 0.000 x1
Os 0.000 0.000 0.490 x1
Os 0.500 0.500 0.162 x1
Se 0.500 0.500 0.648 x1

Entry 3:
Diffraction record for AcHgAs2O8. The powder diffraction line list is computed, not measured: it uses a cell relaxed with PBE and Cu Kα, 1.54184 Å.
No peak broadening, texture or thermal motion is included.

Most intense lines, 15 to 90 degrees two-theta, low angle first:
2θ = 17.70°, 5.011 Å, rel. 30, hkl 1 0 1; 2θ = 23.44°, 3.795 Å, rel. 100, hkl 2 0 0; 2θ = 31.58°, 2.833 Å, rel. 77, hkl 1 1 2; 2θ = 33.39°, 2.683 Å, rel. 27, hkl 2 2 0; 2θ = 46.62°, 1.948 Å, rel. 62, hkl 3 1 2; 2θ = 47.95°, 1.897 Å, rel. 16, hkl 4 0 0; 2θ = 54.03°, 1.697 Å, rel. 16, hkl 4 2 0; 2θ = 58.55°, 1.577 Å, rel. 18, hkl 3 3 2; 2θ = 69.10°, 1.359 Å, rel. 17, hkl 5 1 2; 2θ = 80.78°, 1.190 Å, rel. 15, hkl 4 2 4

Crystal structure
a = 7.590 Å, b = 7.590 Å, c = 6.673 Å
α = 90.00°, β = 90.00°, γ = 90.00°
Space group I-4m2 (No. 119)
One atom of each set of equivalent atoms:
Ac 0.000 0.000 0.000 x2
Hg 0.000 0.500 0.750 x2
As 0.000 0.000 0.500 x2
As 0.000 0.500 0.250 x2
O 0.000 0.177 0.663 x8
O 0.000 0.326 0.084 x8

Entry 4:
Diffraction record for Hf2NbC. The powder diffraction line list is computed, not measured: it uses a cell relaxed with PBE and Cu Kα, 1.54184 Å.
No peak broadening, texture or thermal motion is included.

Most intense lines, 15 to 90 degrees two-theta, low angle first:
2θ = 32.76°, 2.734 Å, rel. 100, hkl 0 0 9; 2θ = 33.41°, 2.682 Å, rel. 12, hkl 0 1 2; 2θ = 35.78°, 2.510 Å, rel. 23, hkl 1 0 4; 2θ = 37.47°, 2.400 Å, rel. 20, hkl 0 1 5; 2θ = 41.69°, 2.166 Å, rel. 11, hkl 1 0 7; 2θ = 44.16°, 2.051 Å, rel. 42, hkl 0 1 8; 2θ = 49.69°, 1.835 Å, rel. 17, hkl 1 0 10; 2θ = 58.15°, 1.586 Å, rel. 22, hkl 1 1 0; 2θ = 68.34°, 1.373 Å, rel. 33, hkl 1 1 9; 2θ = 75.80°, 1.255 Å, rel. 10, hkl 2 0 8

Crystal structure
a = 3.1729 Å, b = 3.1729 Å, c = 24.6482 Å
α = 90.00°, β = 90.00°, γ = 120.00°
Space group R-3m (No. 166, hexagonal axes)
One atom of each set of equivalent atoms:
Hf 0.0000 0.0000 0.1145 x6
Nb 0.0000 0.0000 0.0000 x3
C 0.0000 0.0000 0.5000 x3

Please write out number 1 again, unchanged.
Diffraction record for KFeIr. The powder diffraction line list is computed, not measured: it uses a cell relaxed with PBE and Cu Kα, 1.54184 Å.
No peak broadening, texture or thermal motion is included.

Most intense lines, 15 to 90 degrees two-theta, low angle first:
2θ = 21.37°, 4.159 Å, rel. 81, hkl 1 1 0; 2θ = 29.06°, 3.073 Å, rel. 67, hkl 0 4 0; 2θ = 34.39°, 2.608 Å, rel. 27, hkl 0 4 1; 2θ = 34.98°, 2.565 Å, rel. 47, hkl 1 3 1; 2θ = 40.84°, 2.210 Å, rel. 37, hkl 2 0 0; 2θ = 42.66°, 2.120 Å, rel. 100, hkl 1 1 2; 2θ = 43.53°, 2.079 Å, rel. 30, hkl 2 2 0; 2θ = 47.74°, 1.905 Å, rel. 51, hkl 1 3 2; 2θ = 50.90°, 1.794 Å, rel. 27, hkl 2 4 0; 2θ = 56.86°, 1.619 Å, rel. 28, hkl 1 5 2

Crystal structure
a = 4.419 Å, b = 12.293 Å, c = 4.927 Å
α = 90.00°, β = 90.00°, γ = 90.00°
Space group Cmcm (No. 63)
One atom of each set of equivalent atoms:
K 0.000 0.232 0.250 x4
Fe 0.000 0.500 0.000 x4
Ir 0.000 0.027 0.750 x4